(1)
This entry pairs a crystal structure of ZrPCNO3F3 with its computed XRD peak list. Radiation: λ = 1.5418 Å (Cu Kα). Structure: a cell relaxed with PBE.
Neutral-atom scattering factors, no anomalous dispersion.

Main lines, sorted by position (10 to 90 degrees two-theta):
(hkl), d/Å, 2θ (°), intensity
0 1 0, 6.496, 13.63, 100
0 0 2, 5.303, 16.72, 21
1 0 1, 5.271, 16.82, 14
1 0 -1, 4.359, 20.38, 35
1 1 1, 4.200, 21.15, 30
0 1 -2, 4.105, 21.65, 39
-1 1 1, 3.551, 25.08, 21
1 0 3, 3.323, 26.83, 34
-1 2 1, 2.554, 35.14, 15
0 2 4, 2.053, 44.10, 11

Crystal structure
Cell lengths 5.4743, 6.5047, 10.9026 Å; angles 89.25, 76.42, 86.97 degrees
Space group P-1 (No. 2)
Inequivalent atoms, fractional coordinates:
Zr  0.0000  0.0000  0.0000
Zr  0.5000  0.0000  0.5000
P  0.0885  0.8283  0.3065
C  0.1767  0.5742  0.2544
N  0.2389  0.4083  0.2160
O  0.0671  0.9596  0.1923
O  0.1680  0.1754  0.5997
O  0.2899  0.8975  0.3703
F  0.2003  0.7370  0.9490
F  0.3102  0.1579  0.9354
F  0.3945  0.7602  0.6080

***

(2)
This entry pairs a crystal structure of PbC3S2NO4F2 with its computed XRD peak list. Radiation: λ = 1.5418 Å (Cu Kα). Structure: a cell relaxed with PBE.
Neutral-atom scattering factors, no anomalous dispersion.

Main lines, sorted by position (10 to 90 degrees two-theta):
(hkl), d/Å, 2θ (°), intensity
0 1 -1, 6.504, 13.61, 74
0 1 1, 5.563, 15.93, 100
0 0 2, 4.954, 17.90, 23
1 0 -2, 4.739, 18.72, 27
1 1 -1, 4.709, 18.85, 23
0 2 0, 3.748, 23.74, 26
2 0 -1, 3.639, 24.46, 18
1 -1 2, 3.585, 24.84, 18
2 -1 0, 3.509, 25.39, 29
2 0 1, 3.031, 29.47, 27

Crystal structure
Cell lengths 7.4575, 7.7669, 10.4011 Å; angles 95.60, 105.14, 102.04 degrees
Space group P-1 (No. 2)
Inequivalent atoms, fractional coordinates:
Pb  0.0916  0.2286  0.2989
C  0.0226  0.9470  0.1901
C  0.1645  0.3010  0.5276
C  0.1659  0.4797  0.2063
S  0.3725  0.7317  0.8919
S  0.3880  0.8503  0.6481
N  0.2669  0.7818  0.7472
O  0.2442  0.7312  0.9728
O  0.2581  0.8712  0.5255
O  0.4280  0.1817  0.0579
O  0.4651  0.2428  0.3589
F  0.3640  0.5255  0.8479
F  0.4962  0.9528  0.2780

***

(3)
This entry pairs a crystal structure of SbC2NO2F6 with its computed XRD peak list. Radiation: λ = 1.5418 Å (Cu Kα). Structure: a cell relaxed with PBE.
Neutral-atom scattering factors, no anomalous dispersion.

Main lines, sorted by position (10 to 90 degrees two-theta):
(hkl), d/Å, 2θ (°), intensity
1 0 -2, 6.430, 13.77, 27
1 0 2, 5.308, 16.70, 35
1 1 0, 4.731, 18.76, 54
0 1 2, 4.517, 19.65, 100
2 0 0, 4.427, 20.06, 38
1 1 -2, 4.222, 21.04, 23
0 0 4, 3.826, 23.25, 24
1 0 -4, 3.786, 23.50, 22
3 0 0, 2.951, 30.29, 19
1 1 -6, 2.348, 38.34, 16

Crystal structure
Cell lengths 9.0201, 5.5968, 15.5914 Å; angles 90.00, 101.04, 90.00 degrees
Space group P2_1/c (No. 14)
Inequivalent atoms, fractional coordinates:
Sb  0.2052  0.2411  0.4016
C  0.1437  0.6495  0.1423
C  0.3512  0.5935  0.6686
N  0.2896  0.7080  0.1606
O  0.0362  0.7076  0.6250
O  0.4249  0.0779  0.1796
F  0.1196  0.0828  0.6442
F  0.1741  0.5338  0.9680
F  0.1763  0.0537  0.2973
F  0.2024  0.0666  0.0020
F  0.2044  0.5221  0.3328
F  0.4185  0.2093  0.4225